# CdCoNO
Computed PXRD pattern, Cu Kα. Input: DFT lattice parameters and positions (GGA+U).

Largest 8 diffraction maxima, by angle, 15° ≤ 2θ ≤ 90°:
- hkl 0 0 2, d = 3.498 Å, rel. 657
- hkl 1 0 1, d = 3.467 Å, rel. 194
- hkl 1 1 1, d = 2.617 Å, rel. 1000
- hkl 1 1 2, d = 2.196 Å, rel. 312
- hkl 2 0 0, d = 1.996 Å, rel. 443
- hkl 2 0 2, d = 1.733 Å, rel. 325
- hkl 1 1 4, d = 1.487 Å, rel. 217
- hkl 3 1 1, d = 1.242 Å, rel. 189

Structural model:
```
data_CdCoNO
_chemical_formula_sum 'Cd2 Co2 N2 O2'
_cell_length_a 3.991
_cell_length_b 3.991
_cell_length_c 6.996
_cell_angle_alpha 90.00
_cell_angle_beta 90.00
_cell_angle_gamma 90.00
_symmetry_space_group_name_H-M 'P 4/n m m'
_symmetry_Int_Tables_number 129
loop_
_symmetry_equiv_pos_as_xyz
'x,y,z'
'-x,-y,-z'
'-y+1/2,x,z'
'y+1/2,-x,-z'
'-x+1/2,-y+1/2,z'
'x+1/2,y+1/2,-z'
'y,-x+1/2,z'
'-y,x+1/2,-z'
'x+1/2,-y,-z'
'-x+1/2,y,z'
'-y,-x,-z'
'y,x,z'
'-x,y+1/2,-z'
'x,-y+1/2,z'
'y+1/2,x+1/2,-z'
'-y+1/2,-x+1/2,z'
loop_
_atom_site_label
_atom_site_type_symbol
_atom_site_fract_x
_atom_site_fract_y
_atom_site_fract_z
Cd1 Cd 0.250 0.750 0.000
Co1 Co 0.250 0.250 0.417
N1 N 0.250 0.250 0.155
O1 O 0.250 0.750 0.500
```